No. 1
Starting from DFT lattice parameters and positions (PBE), the X-ray powder pattern of Ho4TlPd12 was computed for a wavelength of 1.5418 Å.

The 6 most intense peaks (2θ = 10–90°), sorted by position:
2θ (°)	intensity
29.48	26
36.31	100
39.34	24
42.18	75
61.18	41
73.27	26

Crystal structure
a = 8.5698 Å, b = 8.5698 Å, c = 8.5698 Å
α = 90.00°, β = 90.00°, γ = 90.00°
Space group Im-3m (No. 229)
Symmetry-distinct sites (fractional):
Ho: 0.2500 0.2500 0.2500
Tl: 0.0000 0.0000 0.0000
Pd: 0.0000 0.0000 0.3037
Pd: 0.0000 0.2500 0.5000

***

No. 2
Starting from DFT lattice parameters and positions (PBE), the X-ray powder pattern of HoTl2Pd8 was computed for a wavelength of 1.5418 Å.

The 6 most intense peaks (2θ = 10–90°), sorted by position:
2θ (°)	intensity
37.52	100
38.06	99
43.32	66
45.10	31
62.93	21
64.32	21

Crystal structure
a = 14.8139 Å, b = 4.1774 Å, c = 6.5431 Å
α = 90.00°, β = 107.60°, γ = 90.00°
Space group C2/m (No. 12)
Symmetry-distinct sites (fractional):
Ho: 0.0000 0.0000 0.0000
Tl: 0.2193 0.5000 0.6580
Pd: 0.0390 0.5000 0.7234
Pd: 0.0895 0.0000 0.4600
Pd: 0.1379 0.5000 0.1903
Pd: 0.1780 0.0000 0.9138

***

No. 3
Starting from DFT lattice parameters and positions (PBE), the X-ray powder pattern of HoTm5Pd4 was computed for a wavelength of 1.5418 Å.

The 6 most intense peaks (2θ = 10–90°), sorted by position:
2θ (°)	intensity
35.12	100
36.58	70
38.63	30
52.70	25
64.92	33
66.52	14

Crystal structure
a = 3.4740 Å, b = 3.4740 Å, c = 18.8551 Å
α = 90.00°, β = 90.00°, γ = 90.00°
Space group P4/mmm (No. 123)
Symmetry-distinct sites (fractional):
Ho: 0.0000 0.0000 0.0000
Tm: 0.5000 0.5000 0.1346
Tm: 0.5000 0.5000 0.3162
Tm: 0.5000 0.5000 0.5000
Pd: 0.0000 0.0000 0.2244
Pd: 0.0000 0.0000 0.4072

***

No. 4
Starting from DFT lattice parameters and positions (PBE), the X-ray powder pattern of Ho6TmPd3 was computed for a wavelength of 1.5418 Å.

The 6 most intense peaks (2θ = 10–90°), sorted by position:
2θ (°)	intensity
29.92	73
31.31	56
32.53	65
33.77	50
33.95	86
35.18	100

Crystal structure
a = 11.3086 Å, b = 13.1339 Å, c = 7.1833 Å
α = 90.00°, β = 90.00°, γ = 90.00°
Space group Cmc2_1 (No. 36)
Symmetry-distinct sites (fractional):
Ho: 0.0000 0.0357 0.0000
Ho: 0.0000 0.2298 0.3610
Ho: 0.1680 0.4609 0.5102
Ho: 0.2274 0.1935 0.6642
Tm: 0.0000 0.3193 0.8812
Pd: 0.0000 0.4220 0.2151
Pd: 0.1894 0.1016 0.2970

***

No. 5
Starting from DFT lattice parameters and positions (PBE), the X-ray powder pattern of Ho3TmPd4 was computed for a wavelength of 1.5418 Å.

The 6 most intense peaks (2θ = 10–90°), sorted by position:
2θ (°)	intensity
36.13	52
36.67	100
52.02	18
65.32	37
66.38	17
77.97	11

Crystal structure
a = 3.4179 Å, b = 4.9725 Å, c = 9.9458 Å
α = 90.00°, β = 90.00°, γ = 90.00°
Space group Pmmm (No. 47)
Symmetry-distinct sites (fractional):
Ho: 0.0000 0.0000 0.0000
Ho: 0.0000 0.5000 0.2507
Tm: 0.0000 0.0000 0.5000
Pd: 0.5000 0.0000 0.2528
Pd: 0.5000 0.5000 0.0000
Pd: 0.5000 0.5000 0.5000

***

No. 6
Starting from DFT lattice parameters and positions (PBE), the X-ray powder pattern of Ho2TmPd4 was computed for a wavelength of 1.5418 Å.

The 6 most intense peaks (2θ = 10–90°), sorted by position:
2θ (°)	intensity
12.06	43
20.91	64
35.94	80
37.83	100
47.32	40
53.73	43

Crystal structure
a = 8.4978 Å, b = 5.7395 Å, c = 8.4779 Å
α = 90.00°, β = 120.01°, γ = 90.00°
Space group C2/m (No. 12)
Symmetry-distinct sites (fractional):
Ho: 0.1305 0.0000 0.2612
Tm: 0.0000 0.5000 0.0000
Pd: 0.1840 0.5000 0.3676
Pd: 0.2500 0.2500 0.0000